# In2Hg9Bi
Computed PXRD pattern, Cu Kα. Input: a DFT-relaxed cell (GGA-PBE, Alexandria).
Lines closer than 0.1° are merged.

Atomic structure:
Cell: 5.708 5.698 10.150 Å, 90.00 90.27 90.00°
Positions (direct):
In1 0.000 0.000 0.165
In2 0.000 0.000 0.835
Hg1 0.000 0.500 0.000
Hg2 0.001 0.500 0.666
Hg3 0.499 0.000 0.334
Hg4 0.500 0.000 0.000
Hg5 0.500 0.500 0.169
Hg6 0.500 0.500 0.500
Hg7 0.500 0.500 0.831
Hg8 0.501 0.000 0.666
Hg9 0.999 0.500 0.334
Bi1 0.000 0.000 0.500

Largest 6 diffraction maxima, by intensity, 10° ≤ 2θ ≤ 80°:
2θ/deg	I (rel.)
31.37	100
34.55	78
34.67	77
44.95	38
57.98	36
57.79	18


# In4Hg12Bi
Computed PXRD pattern, Cu Kα. Input: a DFT-relaxed cell (GGA-PBE, Alexandria).
Lines closer than 0.1° are merged.

Atomic structure:
Cell: 7.391 7.556 9.304 Å, 94.67 104.57 109.86°
Positions (direct):
In1 0.158 0.212 0.131
In2 0.218 0.088 0.755
In3 0.782 0.912 0.245
In4 0.842 0.788 0.869
Hg1 0.029 0.445 0.827
Hg2 0.095 0.331 0.477
Hg3 0.255 0.967 0.406
Hg4 0.311 0.857 0.049
Hg5 0.381 0.737 0.700
Hg6 0.438 0.626 0.356
Hg7 0.562 0.374 0.644
Hg8 0.619 0.263 0.300
Hg9 0.689 0.143 0.951
Hg10 0.745 0.033 0.594
Hg11 0.905 0.669 0.523
Hg12 0.971 0.555 0.173
Bi1 0.500 0.500 0.000

Largest 6 diffraction maxima, by intensity, 10° ≤ 2θ ≤ 80°:
2θ/deg	I (rel.)
38.07	100
31.76	81
31.88	80
32.22	78
33.96	68
36.84	54


# In9Hg3Bi2
Computed PXRD pattern, Cu Kα. Input: a DFT-relaxed cell (GGA-PBE, Alexandria).
Lines closer than 0.1° are merged.

Atomic structure:
Cell: 18.586 18.586 18.586 Å, 164.55 164.55 21.91°
Positions (direct):
In1 0.000 0.000 0.000
In2 0.107 0.107 0.000
In3 0.202 0.202 0.000
In4 0.299 0.299 0.000
In5 0.395 0.395 0.000
In6 0.605 0.605 0.000
In7 0.701 0.701 0.000
In8 0.798 0.798 0.000
In9 0.893 0.893 0.000
Hg1 0.250 0.750 0.500
Hg2 0.655 0.155 0.500
Hg3 0.845 0.345 0.500
Bi1 0.053 0.553 0.500
Bi2 0.447 0.947 0.500

Largest 6 diffraction maxima, by intensity, 10° ≤ 2θ ≤ 80°:
2θ/deg	I (rel.)
35.36	100
21.56	87
35.95	51
64.25	35
42.31	32
51.76	18


# In2Hg6Bi
Computed PXRD pattern, Cu Kα. Input: a DFT-relaxed cell (GGA-PBE, Alexandria).
Lines closer than 0.1° are merged.

Atomic structure:
Cell: 8.583 8.583 8.583 Å, 138.57 138.57 60.03°
Positions (direct):
In1 0.224 0.224 0.000
In2 0.776 0.776 0.000
Hg1 0.242 0.592 0.000
Hg2 0.250 0.750 0.500
Hg3 0.408 0.408 0.649
Hg4 0.592 0.242 0.000
Hg5 0.750 0.250 0.500
Hg6 0.758 0.758 0.351
Bi1 0.000 0.000 0.000

Largest 6 diffraction maxima, by intensity, 10° ≤ 2θ ≤ 80°:
2θ/deg	I (rel.)
23.94	100
33.56	78
31.84	66
38.28	57
45.22	41
37.78	39